Starting from the GGA+U geometry in Alexandria, the PXRD pattern of Li4Fe3Co3W2O16 was simulated for Cu Kα (weighted mean of Kα1 and Kα2).
No peak broadening, texture or thermal motion is included.

Cell and atoms:
Cell: 5.888 5.890 9.570 Å, 89.78 88.90 60.08°
Fractional coordinates of all 28 atoms:
Li (0.000, 0.000, 0.000)
Li (0.001, 0.991, 0.499)
Li (0.319, 0.332, 0.583)
Li (0.650, 0.670, 0.086)
Fe (0.165, 0.164, 0.275)
Fe (0.330, 0.834, 0.774)
Fe (0.820, 0.346, 0.777)
Co (0.166, 0.653, 0.276)
Co (0.656, 0.162, 0.275)
Co (0.820, 0.833, 0.776)
W (0.322, 0.341, 0.003)
W (0.662, 0.659, 0.501)
O (0.008, 0.987, 0.190)
O (0.026, 0.490, 0.151)
O (0.156, 0.185, 0.896)
O (0.169, 0.662, 0.901)
O (0.313, 0.333, 0.375)
O (0.340, 0.810, 0.394)
O (0.453, 0.497, 0.144)
O (0.455, 0.040, 0.136)
O (0.496, 0.960, 0.635)
O (0.508, 0.516, 0.648)
O (0.644, 0.668, 0.877)
O (0.652, 0.187, 0.908)
O (0.833, 0.331, 0.402)
O (0.840, 0.807, 0.404)
O (0.950, 0.505, 0.641)
O (0.998, 0.008, 0.690)

Principal peaks in the range 2θ = 5–70°, low angle first:
hkl 1 1 1, 2θ 19.59, 4.532 Å, I = 100
hkl 0 1 -1, 2θ 19.65, 4.517 Å, I = 44
hkl 1 1 -1, 2θ 19.81, 4.482 Å, I = 91
hkl 1 0 -1, 2θ 19.88, 4.465 Å, I = 47
hkl 1 1 3, 2θ 32.97, 2.717 Å, I = 34
hkl 2 1 2, 2θ 35.51, 2.528 Å, I = 43